1.
Diffraction record for Te2SO4F6. The powder diffraction line list is calculated, not measured: it uses a structure optimized by DFT (GGA-PBE) and Cu Kα X-rays.

Most intense lines, 10° ≤ 2θ ≤ 90°, low angle first:
2theta  d (Å)  intensity  hkl
17.40  5.096  31  0 0 2
19.21  4.620  50  0 2 0
21.11  4.208  55  0 2 1
22.02  4.037  95  2 1 0
22.25  3.996  100  1 1 2
26.03  3.423  29  0 2 2
28.20  3.164  50  2 1 2
40.80  2.211  32  1 3 3

Cell and atoms:
Unit cell a=8.975 b=9.240 c=10.192 alpha=90.00 beta=90.00 gamma=90.00
Space group P2_12_12_1 (No. 19)
One atom of each set of equivalent atoms:
Te 0.084 0.195 0.332 (multiplicity 4)
Te 0.104 0.298 0.797 (multiplicity 4)
S 0.207 0.918 0.541 (multiplicity 4)
O 0.093 0.803 0.573 (multiplicity 4)
O 0.133 0.062 0.529 (multiplicity 4)
O 0.180 0.075 0.146 (multiplicity 4)
O 0.224 0.118 0.912 (multiplicity 4)
F 0.032 0.326 0.468 (multiplicity 4)
F 0.039 0.477 0.721 (multiplicity 4)
F 0.060 0.354 0.215 (multiplicity 4)
F 0.189 0.411 0.931 (multiplicity 4)
F 0.203 0.674 0.205 (multiplicity 4)
F 0.214 0.751 0.854 (multiplicity 4)


2.
Diffraction record for Y3SOF5. The powder diffraction line list is calculated, not measured: it uses a structure optimized by DFT (GGA-PBE) and Cu Kα X-rays.

Most intense lines, 10° ≤ 2θ ≤ 90°, low angle first:
2theta  d (Å)  intensity  hkl
26.53  3.359  77  1 1 0
28.65  3.116  100  2 0 1
28.68  3.112  78  1 0 -3
28.97  3.082  76  3 0 -2
30.72  2.911  99  1 1 -2
32.72  2.737  80  2 1 -2
38.00  2.368  85  3 1 -1
51.16  1.785  98  5 0 -1

Cell and atoms:
Unit cell a=9.423 b=3.681 c=9.486 alpha=90.00 beta=119.45 gamma=90.00
Space group Pm (No. 6)
One atom of each set of equivalent atoms:
Y 0.000 0.000 0.000 (multiplicity 1)
Y 0.104 0.500 0.687 (multiplicity 1)
Y 0.282 0.000 0.450 (multiplicity 1)
Y 0.404 0.500 0.181 (multiplicity 1)
Y 0.578 0.500 0.869 (multiplicity 1)
Y 0.833 0.000 0.313 (multiplicity 1)
S 0.027 0.500 0.246 (multiplicity 1)
S 0.371 0.000 0.917 (multiplicity 1)
O 0.083 0.000 0.532 (multiplicity 1)
O 0.264 0.000 0.197 (multiplicity 1)
F 0.131 0.500 0.959 (multiplicity 1)
F 0.323 0.500 0.632 (multiplicity 1)
F 0.428 0.500 0.435 (multiplicity 1)
F 0.543 0.000 0.704 (multiplicity 1)
F 0.587 0.000 0.309 (multiplicity 1)
F 0.656 0.500 0.152 (multiplicity 1)
F 0.747 0.000 0.018 (multiplicity 1)
F 0.822 0.500 0.869 (multiplicity 1)
F 0.845 0.500 0.466 (multiplicity 1)
F 0.976 0.000 0.747 (multiplicity 1)


3.
Diffraction record for SbO3F6. The powder diffraction line list is calculated, not measured: it uses a structure optimized by DFT (GGA-PBE) and Cu Kα X-rays.

Most intense lines, 10° ≤ 2θ ≤ 90°, low angle first:
2theta  d (Å)  intensity  hkl
16.62  5.333  62  1 0 0
16.76  5.291  71  0 0 1
17.54  5.056  57  0 1 0
19.23  4.615  100  0 1 1
22.73  3.912  74  1 1 0
23.49  3.788  58  1 0 -1
23.89  3.724  59  1 0 1
25.70  3.466  41  1 -1 0

Cell and atoms:
Unit cell a=5.374 b=5.491 c=5.705 alpha=68.05 beta=88.26 gamma=82.92
Space group P1 (No. 1)
One atom of each set of equivalent atoms:
Sb 0.000 0.000 0.000 (multiplicity 1)
O 0.401 0.363 0.438 (multiplicity 1)
O 0.498 0.539 0.479 (multiplicity 1)
O 0.566 0.537 0.689 (multiplicity 1)
F 0.114 0.338 0.804 (multiplicity 1)
F 0.191 0.979 0.288 (multiplicity 1)
F 0.282 0.821 0.896 (multiplicity 1)
F 0.719 0.191 0.104 (multiplicity 1)
F 0.803 0.032 0.712 (multiplicity 1)
F 0.881 0.670 0.198 (multiplicity 1)


4.
Diffraction record for SbOF. The powder diffraction line list is calculated, not measured: it uses a structure optimized by DFT (GGA-PBE) and Cu Kα X-rays.

Most intense lines, 10° ≤ 2θ ≤ 90°, low angle first:
2theta  d (Å)  intensity  hkl
15.98  5.546  18  0 2 1
25.87  3.444  100  1 2 2
28.40  3.143  11  0 4 0
30.38  2.943  14  0 0 4
31.04  2.881  10  2 0 0
42.06  2.148  11  0 4 4
43.99  2.059  12  2 0 4
51.30  1.781  12  1 2 6

Cell and atoms:
Unit cell a=5.762 b=12.575 c=11.771 alpha=90.00 beta=90.00 gamma=90.00
Space group Pbca (No. 61)
One atom of each set of equivalent atoms:
Sb 0.203 0.010 0.116 (multiplicity 8)
Sb 0.203 0.705 0.357 (multiplicity 8)
O 0.085 0.580 0.451 (multiplicity 8)
O 0.107 0.126 0.238 (multiplicity 8)
F 0.004 0.185 0.458 (multiplicity 8)
F 0.008 0.594 0.701 (multiplicity 8)


5.
Diffraction record for Sb6O5F8. The powder diffraction line list is calculated, not measured: it uses a structure optimized by DFT (GGA-PBE) and Cu Kα X-rays.

Most intense lines, 10° ≤ 2θ ≤ 90°, low angle first:
2theta  d (Å)  intensity  hkl
13.56  6.530  33  0 1 0
15.08  5.874  36  0 1 1
23.88  3.726  36  1 1 0
24.09  3.694  100  0 1 3
26.21  3.400  32  1 -1 0
26.55  3.357  20  1 1 2
27.88  3.200  26  1 0 3
38.44  2.342  19  0 2 4

Cell and atoms:
Unit cell a=4.267 b=6.563 c=13.480 alpha=89.53 beta=85.64 gamma=84.24
Space group P1 (No. 1)
One atom of each set of equivalent atoms:
Sb 0.000 0.000 0.000 (multiplicity 1)
Sb 0.032 0.945 0.294 (multiplicity 1)
Sb 0.423 0.373 0.847 (multiplicity 1)
Sb 0.523 0.277 0.184 (multiplicity 1)
Sb 0.686 0.477 0.514 (multiplicity 1)
Sb 0.933 0.979 0.706 (multiplicity 1)
O 0.052 0.174 0.187 (multiplicity 1)
O 0.070 0.210 0.894 (multiplicity 1)
O 0.560 0.179 0.737 (multiplicity 1)
O 0.561 0.007 0.255 (multiplicity 1)
O 0.591 0.162 0.044 (multiplicity 1)
F 0.090 0.724 0.193 (multiplicity 1)
F 0.123 0.517 0.757 (multiplicity 1)
F 0.165 0.504 0.488 (multiplicity 1)
F 0.647 0.716 0.426 (multiplicity 1)
F 0.651 0.796 0.647 (multiplicity 1)
F 0.733 0.305 0.394 (multiplicity 1)
F 0.748 0.863 0.901 (multiplicity 1)
F 0.996 0.114 0.575 (multiplicity 1)


6.
Diffraction record for SbOF. The powder diffraction line list is calculated, not measured: it uses a structure optimized by DFT (GGA-PBE) and Cu Kα X-rays.

Most intense lines, 10° ≤ 2θ ≤ 90°, low angle first:
2theta  d (Å)  intensity  hkl
21.13  4.204  53  1 0 1
24.69  3.605  100  2 2 0
26.04  3.421  47  2 0 1
27.50  3.244  34  2 1 1
35.20  2.549  23  4 0 0
37.29  2.411  25  3 2 1
43.98  2.059  20  2 1 2
44.31  2.044  34  4 2 1

Cell and atoms:
Unit cell a=10.197 b=10.197 c=4.615 alpha=90.00 beta=90.00 gamma=90.00
Space group P-42_1c (No. 114)
One atom of each set of equivalent atoms:
Sb 0.012 0.241 0.118 (multiplicity 8)
O 0.117 0.134 0.839 (multiplicity 8)
F 0.062 0.672 0.767 (multiplicity 8)